[1]
Calculated powder diffractogram
Compound: TeRh2O2
Radiation: Cu Kα, 1.54184 Å
Structure: a cell relaxed with GGA-PBE
No peak broadening, texture or thermal motion is included.

The 8 most intense peaks (5° ≤ 2θ ≤ 70°), in order of falling intensity:
- 35.37°, d = 2.538 Å, I = 100
- 35.16°, d = 2.553 Å, I = 50
- 63.22°, d = 1.471 Å, I = 36
- 50.57°, d = 1.805 Å, I = 25
- 49.50°, d = 1.841 Å, I = 16
- 63.64°, d = 1.462 Å, I = 12
- 39.10°, d = 2.304 Å, I = 12
- 16.57°, d = 5.352 Å, I = 5

Structure:
a = 3.610 Å, b = 3.610 Å, c = 10.703 Å
α = 90.00°, β = 90.00°, γ = 90.00°
Space group I4/mmm (No. 139)
Inequivalent atoms, fractional coordinates:
Te 0.000 0.000 0.000 (multiplicity 2)
Rh 0.000 0.000 0.362 (multiplicity 4)
O 0.000 0.500 0.250 (multiplicity 4)

[2]
Calculated powder diffractogram
Compound: Tl2TeRhO4
Radiation: Cu Kα, 1.54184 Å
Structure: a cell relaxed with GGA-PBE
No peak broadening, texture or thermal motion is included.

The 8 most intense peaks (5° ≤ 2θ ≤ 70°), in order of falling intensity:
- 28.62°, d = 3.119 Å, I = 100
- 33.42°, d = 2.681 Å, I = 63
- 30.81°, d = 2.902 Å, I = 47
- 38.28°, d = 2.351 Å, I = 30
- 38.63°, d = 2.331 Å, I = 28
- 50.30°, d = 1.814 Å, I = 25
- 50.20°, d = 1.817 Å, I = 24
- 55.51°, d = 1.655 Å, I = 19

Structure:
a = 9.709 Å, b = 9.324 Å, c = 6.711 Å
α = 90.00°, β = 120.14°, γ = 90.00°
Space group C2/c (No. 15)
Inequivalent atoms, fractional coordinates:
Tl 0.000 0.000 0.000 (multiplicity 4)
Tl 0.250 0.250 0.000 (multiplicity 4)
Te 0.250 0.250 0.500 (multiplicity 4)
Rh 0.000 0.500 0.000 (multiplicity 4)
O 0.047 0.287 0.553 (multiplicity 8)
O 0.153 0.472 0.352 (multiplicity 8)

[3]
Calculated powder diffractogram
Compound: TlRhO2
Radiation: Cu Kα, 1.54184 Å
Structure: a cell relaxed with GGA-PBE
No peak broadening, texture or thermal motion is included.

The 8 most intense peaks (5° ≤ 2θ ≤ 70°), in order of falling intensity:
- 34.93°, d = 2.568 Å, I = 100
- 26.07°, d = 3.418 Å, I = 47
- 51.95°, d = 1.760 Å, I = 37
- 41.97°, d = 2.153 Å, I = 29
- 32.30°, d = 2.771 Å, I = 27
- 64.28°, d = 1.449 Å, I = 23
- 57.60°, d = 1.600 Å, I = 19
- 69.17°, d = 1.358 Å, I = 14

Structure:
a = 3.2002 Å, b = 3.2002 Å, c = 6.8361 Å
α = 90.00°, β = 90.00°, γ = 120.00°
Space group P3m1 (No. 156)
Inequivalent atoms, fractional coordinates:
Tl 0.0000 0.0000 0.0000 (multiplicity 1)
Rh 0.6667 0.3333 0.5104 (multiplicity 1)
O 0.0000 0.0000 0.3728 (multiplicity 1)
O 0.3333 0.6667 0.6488 (multiplicity 1)